# 1
Starting from the PBE geometry in the Materials Project, the XRD peak list of HfTaRe2 was simulated for CuKα.
Kinematic intensities with the Lorentz-polarization factor, no thermal factor.

Most intense lines, 2θ = 10–90°, low angle first:
d/Å	I/Imax
2.291	100
1.620	17
1.323	35
1.146	11

Cell lengths 4.5824, 4.5824, 4.5824 Å; angles 60.00, 60.00, 60.00 degrees
Positions (direct):
Hf: 0.0000 0.0000 0.0000
Ta: 0.5000 0.5000 0.5000
Re: 0.2500 0.2500 0.2500
Re: 0.7500 0.7500 0.7500

=====

# 2
Starting from the PBE geometry in the Materials Project, the XRD peak list of Hf3Rh5 was simulated for CuKα.
Kinematic intensities with the Lorentz-polarization factor, no thermal factor.

Most intense lines, 2θ = 10–90°, low angle first:
d/Å	I/Imax
2.352	42
2.306	100
2.299	64
2.224	20
2.151	47
1.958	22
1.724	13
1.546	13
1.448	16
1.269	24

Cell lengths 5.6177, 10.9224, 4.3027 Å; angles 90.00, 90.00, 90.00 degrees
Positions (direct):
Hf: 0.0000 0.0000 0.0000
Hf: 0.1563 0.3545 0.5000
Hf: 0.3437 0.8545 0.5000
Hf: 0.5000 0.5000 0.0000
Hf: 0.6563 0.1455 0.5000
Hf: 0.8437 0.6455 0.5000
Rh: 0.0000 0.5000 0.0000
Rh: 0.1011 0.7579 0.0000
Rh: 0.1827 0.1073 0.5000
Rh: 0.3173 0.6073 0.5000
Rh: 0.3989 0.2579 0.0000
Rh: 0.5000 0.0000 0.0000
Rh: 0.6011 0.7421 0.0000
Rh: 0.6827 0.3927 0.5000
Rh: 0.8173 0.8927 0.5000
Rh: 0.8989 0.2421 0.0000

=====

# 3
Starting from the PBE geometry in the Materials Project, the XRD peak list of HfRh was simulated for CuKα.
Kinematic intensities with the Lorentz-polarization factor, no thermal factor.

Most intense lines, 2θ = 10–90°, low angle first:
d/Å	I/Imax
3.277	8
2.317	100
1.892	2
1.639	17
1.466	3
1.338	35
1.159	11
1.092	2

Cell lengths 3.2770, 3.2770, 3.2770 Å; angles 90.00, 90.00, 90.00 degrees
Positions (direct):
Hf: 0.0000 0.0000 0.0000
Rh: 0.5000 0.5000 0.5000

=====

# 4
Starting from the PBE geometry in the Materials Project, the XRD peak list of Hf2Rh was simulated for CuKα.
Kinematic intensities with the Lorentz-polarization factor, no thermal factor.

Most intense lines, 2θ = 10–90°, low angle first:
d/Å	I/Imax
2.833	30
2.521	40
2.377	100
2.183	38
1.608	11
1.456	36
1.426	15
1.241	16
1.211	7
1.194	10

Cell lengths 8.7332, 8.7332, 8.7332 Å; angles 60.00, 60.00, 60.00 degrees
Positions (direct):
Hf: 0.0000 0.0000 0.0000
Hf: 0.0000 0.0000 0.5000
Hf: 0.0000 0.5000 0.0000
Hf: 0.1891 0.1891 0.5609
Hf: 0.1891 0.5609 0.1891
Hf: 0.1891 0.5609 0.5609
Hf: 0.4391 0.4391 0.8109
Hf: 0.4391 0.8109 0.4391
Hf: 0.4391 0.8109 0.8109
Hf: 0.5000 0.0000 0.0000
Hf: 0.5609 0.1891 0.1891
Hf: 0.5609 0.1891 0.5609
Hf: 0.5609 0.5609 0.1891
Hf: 0.8109 0.4391 0.4391
Hf: 0.8109 0.4391 0.8109
Hf: 0.8109 0.8109 0.4391
Rh: 0.1652 0.7783 0.7783
Rh: 0.2217 0.2217 0.2217
Rh: 0.2217 0.2217 0.8348
Rh: 0.2217 0.8348 0.2217
Rh: 0.7783 0.1652 0.7783
Rh: 0.7783 0.7783 0.1652
Rh: 0.7783 0.7783 0.7783
Rh: 0.8348 0.2217 0.2217

=====

# 5
Starting from the PBE geometry in the Materials Project, the XRD peak list of Hf2RuRh was simulated for CuKα.
Kinematic intensities with the Lorentz-polarization factor, no thermal factor.

Most intense lines, 2θ = 10–90°, low angle first:
d/Å	I/Imax
3.259	8
2.304	100
1.882	2
1.630	17
1.457	3
1.330	35
1.152	11

Cell lengths 4.6089, 4.6089, 4.6089 Å; angles 60.00, 60.00, 60.00 degrees
Positions (direct):
Hf: 0.2500 0.2500 0.2500
Hf: 0.7500 0.7500 0.7500
Ru: 0.0000 0.0000 0.0000
Rh: 0.5000 0.5000 0.5000

=====

# 6
Starting from the PBE geometry in the Materials Project, the XRD peak list of HfRu was simulated for CuKα.
Kinematic intensities with the Lorentz-polarization factor, no thermal factor.

Most intense lines, 2θ = 10–90°, low angle first:
d/Å	I/Imax
3.244	8
2.294	100
1.873	3
1.622	17
1.451	3
1.324	35
1.147	11

Cell lengths 3.2442, 3.2442, 3.2442 Å; angles 90.00, 90.00, 90.00 degrees
Positions (direct):
Hf: 0.0000 0.0000 0.0000
Ru: 0.5000 0.5000 0.5000

=====

# 7
Starting from the PBE geometry in the Materials Project, the XRD peak list of Hf2Si4Ru3 was simulated for CuKα.
Kinematic intensities with the Lorentz-polarization factor, no thermal factor.

Most intense lines, 2θ = 10–90°, low angle first:
d/Å	I/Imax
2.639	42
2.596	48
2.441	35
2.359	100
2.305	63
2.244	46
2.203	48
2.199	51
2.184	40
2.131	86

Cell lengths 9.8736, 9.8736, 13.3160 Å; angles 125.95, 125.95, 31.48 degrees
Positions (direct):
Hf: 0.0551 0.7980 0.8518
Hf: 0.2020 0.9449 0.6482
Hf: 0.2059 0.4623 0.1378
Hf: 0.4623 0.2059 0.6378
Hf: 0.5377 0.7941 0.3622
Hf: 0.7941 0.5377 0.8622
Hf: 0.7980 0.0551 0.3518
Hf: 0.9449 0.2020 0.1482
Si: 0.0724 0.5860 0.9356
Si: 0.1117 0.3574 0.3955
Si: 0.1186 0.8814 0.2500
Si: 0.2446 0.5290 0.3943
Si: 0.3574 0.1117 0.8955
Si: 0.3727 0.6273 0.7500
Si: 0.4140 0.9276 0.5644
Si: 0.4710 0.7554 0.1057
Si: 0.5290 0.2446 0.8943
Si: 0.5860 0.0724 0.4356
Si: 0.6273 0.3727 0.2500
Si: 0.6426 0.8883 0.1045
Si: 0.7554 0.4710 0.6057
Si: 0.8814 0.1186 0.7500
Si: 0.8883 0.6426 0.6045
Si: 0.9276 0.4140 0.0644
Ru: 0.0213 0.7334 0.5674
Ru: 0.1504 0.3257 0.7197
Ru: 0.2666 0.9787 0.9326
Ru: 0.3257 0.1504 0.2197
Ru: 0.3658 0.5918 0.0843
Ru: 0.4082 0.6342 0.4157
Ru: 0.5918 0.3658 0.5843
Ru: 0.6342 0.4082 0.9157
Ru: 0.6743 0.8496 0.7803
Ru: 0.7334 0.0213 0.0674
Ru: 0.8496 0.6743 0.2803
Ru: 0.9787 0.2666 0.4326

=====

# 8
Starting from the PBE geometry in the Materials Project, the XRD peak list of HfSiRu was simulated for CuKα.
Kinematic intensities with the Lorentz-polarization factor, no thermal factor.

Most intense lines, 2θ = 10–90°, low angle first:
d/Å	I/Imax
3.331	25
3.105	21
2.885	17
2.471	100
2.271	74
2.182	37
2.178	18
1.842	19
1.469	23
1.407	23

Cell lengths 7.6075, 7.6075, 7.6075 Å; angles 122.08, 81.59, 127.97 degrees
Positions (direct):
Hf: 0.0026 0.2500 0.2526
Hf: 0.1344 0.1052 0.5292
Hf: 0.1820 0.6297 0.0522
Hf: 0.5760 0.6052 0.4708
Hf: 0.5775 0.1297 0.9478
Hf: 0.9974 0.7500 0.7474
Si: 0.2466 0.0735 0.1618
Si: 0.2466 0.5849 0.6731
Si: 0.5645 0.3400 0.7245
Si: 0.6155 0.8400 0.2755
Si: 0.9117 0.0849 0.8382
Si: 0.9117 0.5735 0.3269
Ru: 0.3345 0.3345 0.0000
Ru: 0.3345 0.8345 0.5000
Ru: 0.5806 0.1769 0.3486
Ru: 0.5806 0.7320 0.9037
Ru: 0.8283 0.2320 0.6514
Ru: 0.8283 0.6769 0.0963

=====

# 9
Starting from the PBE geometry in the Materials Project, the XRD peak list of HfSiRu2 was simulated for CuKα.
Kinematic intensities with the Lorentz-polarization factor, no thermal factor.

Most intense lines, 2θ = 10–90°, low angle first:
d/Å	I/Imax
3.573	32
2.188	100
1.866	16
1.547	17
1.420	7
1.263	34
1.191	5
1.094	11

Cell lengths 4.3763, 4.3763, 4.3763 Å; angles 60.00, 60.00, 60.00 degrees
Positions (direct):
Hf: 0.0000 0.0000 0.0000
Si: 0.5000 0.5000 0.5000
Ru: 0.2500 0.2500 0.2500
Ru: 0.7500 0.7500 0.7500

=====

# 10
Starting from the PBE geometry in the Materials Project, the XRD peak list of HfSiRu was simulated for CuKα.
Kinematic intensities with the Lorentz-polarization factor, no thermal factor.

Most intense lines, 2θ = 10–90°, low angle first:
d/Å	I/Imax
3.333	25
3.114	18
2.476	100
2.276	62
2.182	51
1.849	19
1.601	15
1.469	33
1.411	25
1.247	17

Cell lengths 6.6657, 6.6657, 3.6989 Å; angles 90.00, 90.00, 120.00 degrees
Positions (direct):
Hf: 0.0000 0.4134 0.0000
Hf: 0.4134 0.0000 0.0000
Hf: 0.5866 0.5866 0.0000
Si: 0.0000 0.0000 0.0000
Si: 0.3333 0.6667 0.5000
Si: 0.6667 0.3333 0.5000
Ru: 0.0000 0.7541 0.5000
Ru: 0.2459 0.2459 0.5000
Ru: 0.7541 0.0000 0.5000

=====

# 11
Starting from the PBE geometry in the Materials Project, the XRD peak list of TmHfRu2 was simulated for CuKα.
Kinematic intensities with the Lorentz-polarization factor, no thermal factor.

Most intense lines, 2θ = 10–90°, low angle first:
d/Å	I/Imax
3.295	8
2.330	100
1.902	2
1.647	17
1.473	3
1.345	35
1.165	11
1.098	2

Cell lengths 4.6594, 4.6594, 4.6594 Å; angles 60.00, 60.00, 60.00 degrees
Positions (direct):
Tm: 0.0000 0.0000 0.0000
Hf: 0.5000 0.5000 0.5000
Ru: 0.2500 0.2500 0.2500
Ru: 0.7500 0.7500 0.7500

=====

# 12
Starting from the PBE geometry in the Materials Project, the XRD peak list of HfS3 was simulated for CuKα.
Kinematic intensities with the Lorentz-polarization factor, no thermal factor.

Most intense lines, 2θ = 10–90°, low angle first:
d/Å	I/Imax
4.761	47
4.303	60
3.740	39
2.949	27
2.889	100
2.400	27
2.252	26
2.100	30
2.084	27
1.805	25

Cell lengths 5.1492, 3.6116, 9.7060 Å; angles 90.00, 96.99, 90.00 degrees
Positions (direct):
Hf: 0.2169 0.2500 0.3567
Hf: 0.7831 0.7500 0.6433
S: 0.0218 0.2500 0.8058
S: 0.2614 0.7500 0.5497
S: 0.3835 0.7500 0.1956
S: 0.6165 0.2500 0.8044
S: 0.7386 0.2500 0.4503
S: 0.9782 0.7500 0.1942